# 1
Computed XRD peak list
Compound: DyCuAs2
Radiation: λ = 1.5418 Å (Cu Kα)
Structure: a structure optimized by DFT (PBE)
Peak positions follow from Bragg's law for the DFT cell and can differ from measured ones.

Structural model:
a = 3.9041 Å, b = 3.9041 Å, c = 9.8911 Å
α = 90.00°, β = 90.00°, γ = 90.00°
Space group P4/nmm (No. 129, origin choice 2)
Asymmetric unit:
Dy 0.2500 0.2500 0.2379
Cu 0.2500 0.7500 0.5000
As 0.2500 0.2500 0.6611
As 0.2500 0.7500 0.0000

Principal peaks in the range 10° ≤ 2θ ≤ 80°, by intensity:
2θ 37.30, d = 2.410 Å, I 100, hkl 1 1 2; 2θ 46.52, d = 1.952 Å, I 34, hkl 2 0 0; 2θ 35.64, d = 2.519 Å, I 27, hkl 1 0 3; 2θ 24.51, d = 3.631 Å, I 22, hkl 1 0 1; 2θ 51.81, d = 1.765 Å, I 17, hkl 1 0 5; 2θ 29.14, d = 3.064 Å, I 15, hkl 1 0 2; 2θ 36.33, d = 2.473 Å, I 15, hkl 0 0 4; 2θ 60.42, d = 1.532 Å, I 13, hkl 2 0 4; 2θ 72.16, d = 1.309 Å, I 12, hkl 2 1 5; 2θ 59.95, d = 1.543 Å, I 12, hkl 2 1 3; 2θ 67.91, d = 1.380 Å, I 11, hkl 2 2 0; 2θ 66.01, d = 1.415 Å, I 7, hkl 1 1 6

# 2
Computed XRD peak list
Compound: YMg14SiO16
Radiation: λ = 1.5418 Å (Cu Kα)
Structure: a structure optimized by DFT (PBE)
Peak positions follow from Bragg's law for the DFT cell and can differ from measured ones.

Structural model:
a = 8.7713 Å, b = 8.7713 Å, c = 4.3809 Å
α = 90.00°, β = 90.00°, γ = 90.00°
Space group P4/mmm (No. 123)
Asymmetric unit:
Y 0.0000 0.0000 0.0000
Mg 0.0000 0.2634 0.5000
Mg 0.0000 0.5000 0.0000
Mg 0.2492 0.5000 0.5000
Mg 0.2568 0.2568 0.0000
Si 0.5000 0.5000 0.0000
O 0.0000 0.0000 0.5000
O 0.0000 0.2577 0.0000
O 0.0000 0.5000 0.5000
O 0.2376 0.5000 0.0000
O 0.2515 0.2515 0.5000
O 0.5000 0.5000 0.5000

Principal peaks in the range 10° ≤ 2θ ≤ 80°, by intensity:
2θ 41.18, d = 2.192 Å, I 100, hkl 0 0 2; 2θ 59.65, d = 1.550 Å, I 57, hkl 4 0 2; 2θ 35.47, d = 2.531 Å, I 17, hkl 2 2 1; 2θ 75.06, d = 1.266 Å, I 17, hkl 4 4 2; 2θ 71.35, d = 1.322 Å, I 10, hkl 2 2 3; 2θ 10.08, d = 8.771 Å, I 10, hkl 1 0 0; 2θ 22.68, d = 3.921 Å, I 10, hkl 2 1 0; 2θ 30.59, d = 2.923 Å, I 8, hkl 3 0 0; 2θ 20.26, d = 4.384 Å, I 6, hkl 2 0 0; 2θ 28.80, d = 3.100 Å, I 5, hkl 2 2 0; 2θ 24.88, d = 3.578 Å, I 5, hkl 1 1 1; 2θ 14.28, d = 6.202 Å, I 5, hkl 1 1 0

# 3
Computed XRD peak list
Compound: TlFeBr3
Radiation: λ = 1.5418 Å (Cu Kα)
Structure: a structure optimized by DFT (PBE)
Peak positions follow from Bragg's law for the DFT cell and can differ from measured ones.

Structural model:
a = 9.4285 Å, b = 3.9848 Å, c = 15.3829 Å
α = 90.00°, β = 90.00°, γ = 90.00°
Space group Pnma (No. 62)
Asymmetric unit:
Tl 0.0572 0.2500 0.1725
Fe 0.1569 0.7500 0.4464
Br 0.0215 0.7500 0.5981
Br 0.1803 0.7500 0.0022
Br 0.2277 0.2500 0.7969

Principal peaks in the range 10° ≤ 2θ ≤ 80°, by intensity:
2θ 29.94, d = 2.984 Å, I 100, hkl 2 1 1; 2θ 19.70, d = 4.505 Å, I 37, hkl 1 0 3; 2θ 31.62, d = 2.830 Å, I 30, hkl 2 1 2; 2θ 36.92, d = 2.435 Å, I 29, hkl 3 0 4; 2θ 30.57, d = 2.925 Å, I 24, hkl 1 0 5; 2θ 45.53, d = 1.992 Å, I 20, hkl 0 2 0; 2θ 33.76, d = 2.655 Å, I 20, hkl 1 1 4; 2θ 30.73, d = 2.909 Å, I 17, hkl 3 0 2; 2θ 43.58, d = 2.077 Å, I 14, hkl 3 1 4; 2θ 23.06, d = 3.857 Å, I 12, hkl 0 1 1; 2θ 57.97, d = 1.591 Å, I 10, hkl 4 1 6; 2θ 55.83, d = 1.647 Å, I 9, hkl 1 2 5

# 4
Computed XRD peak list
Compound: KHo2F7
Radiation: λ = 1.5418 Å (Cu Kα)
Structure: a structure optimized by DFT (PBE)
Peak positions follow from Bragg's law for the DFT cell and can differ from measured ones.

Structural model:
a = 14.4391 Å, b = 8.0560 Å, c = 12.0209 Å
α = 90.00°, β = 125.22°, γ = 90.00°
Space group C2/m (No. 12)
Asymmetric unit:
K 0.2353 0.0000 0.1530
K 0.2380 0.5000 0.4808
Ho 0.0004 0.2374 0.1804
Ho 0.0000 0.2592 0.5000
Ho 0.2418 0.0000 0.8213
F 0.0000 0.1790 0.0000
F 0.0033 0.5000 0.2307
F 0.1006 0.2352 0.4152
F 0.1031 0.0000 0.2486
F 0.1040 0.5000 0.5733
F 0.1055 0.0000 0.5875
F 0.1144 0.0000 0.8813
F 0.1174 0.2359 0.7366
F 0.1640 0.3324 0.0013
F 0.1719 0.3294 0.2386

Principal peaks in the range 10° ≤ 2θ ≤ 80°, by intensity:
2θ 26.80, d = 3.326 Å, I 100, hkl 2 2 0; 2θ 26.57, d = 3.355 Å, I 51, hkl 4 0 -3; 2θ 27.24, d = 3.274 Å, I 45, hkl 0 0 3; 2θ 31.50, d = 2.840 Å, I 44, hkl 2 2 -3; 2θ 44.71, d = 2.027 Å, I 38, hkl 2 2 3; 2θ 43.84, d = 2.065 Å, I 35, hkl 6 2 -3; 2θ 53.03, d = 1.727 Å, I 33, hkl 4 4 -3; 2θ 15.02, d = 5.898 Å, I 31, hkl 2 0 0; 2θ 30.31, d = 2.949 Å, I 27, hkl 4 0 0; 2θ 51.74, d = 1.767 Å, I 19, hkl 6 2 0; 2θ 45.29, d = 2.002 Å, I 19, hkl 4 0 -6; 2θ 45.02, d = 2.014 Å, I 19, hkl 0 4 0

# 5
Computed XRD peak list
Compound: U6O11
Radiation: λ = 1.5418 Å (Cu Kα)
Structure: a structure optimized by DFT (PBE)
Peak positions follow from Bragg's law for the DFT cell and can differ from measured ones.

Structural model:
a = 6.6629 Å, b = 11.5378 Å, c = 6.6644 Å
α = 90.00°, β = 109.46°, γ = 90.00°
Space group Cm (No. 8)
Asymmetric unit:
U 0.0000 0.0000 0.0000
U 0.0043 0.3338 0.0170
U 0.0187 0.5000 0.5185
U 0.4978 0.3243 0.5180
O 0.1282 0.5000 0.8896
O 0.1294 0.1717 0.8896
O 0.1288 0.3340 0.3890
O 0.3665 0.0000 0.1493
O 0.3675 0.1594 0.6277
O 0.3901 0.5000 0.6308
O 0.3905 0.3408 0.1511

Principal peaks in the range 10° ≤ 2θ ≤ 80°, by intensity:
2θ 28.42, d = 3.141 Å, I 100, hkl 2 0 0; 2θ 47.26, d = 1.923 Å, I 48, hkl 2 0 2; 2θ 56.06, d = 1.640 Å, I 38, hkl 2 0 -4; 2θ 32.93, d = 2.720 Å, I 38, hkl 2 0 -2; 2θ 76.29, d = 1.248 Å, I 19, hkl 2 0 4; 2θ 78.65, d = 1.217 Å, I 15, hkl 3 3 3; 2θ 58.80, d = 1.571 Å, I 11, hkl 0 0 4; 2θ 56.08, d = 1.640 Å, I 8, hkl 2 6 0; 2θ 69.06, d = 1.360 Å, I 8, hkl 4 0 -4